Pm2NdErTm4: calculated powder diffractogram (Cu Kα, 1.54184 Å), based on a DFT-relaxed cell (PBE, Alexandria).
No peak broadening, texture or thermal motion is included.

Top 12 peaks for 2θ from 10° to 90°, by angle:
d 3.305, 26.97 deg, I = 51.2
d 2.944, 30.36 deg, I = 37.8
d 2.934, 30.47 deg, I = 75.2
d 2.196, 41.11 deg, I = 100.0
d 1.698, 54.01 deg, I = 15.1
d 1.510, 61.39 deg, I = 20.4
d 1.506, 61.57 deg, I = 10.2
d 1.467, 63.40 deg, I = 9.4
d 1.440, 64.72 deg, I = 26.1
d 1.341, 70.19 deg, I = 13.8
d 1.184, 81.23 deg, I = 9.2
d 1.097, 89.28 deg, I = 7.6

Atomic structure:
abc: 9.477 9.477 9.477
angles: 138.16 103.19 91.54
Fractional positions:
Pm (0.000, 0.000, 0.000)
Pm (0.500, 0.000, 0.000)
Pm (0.500, 0.000, 0.500)
Pm (0.500, 0.500, 0.500)
Nd (0.000, 0.500, 0.500)
Nd (0.500, 0.500, 0.000)
Er (0.000, 0.000, 0.500)
Er (0.000, 0.500, 0.000)
Tm (0.246, 0.246, 0.500)
Tm (0.246, 0.250, 0.996)
Tm (0.246, 0.746, 0.000)
Tm (0.246, 0.750, 0.496)
Tm (0.754, 0.250, 0.504)
Tm (0.754, 0.254, 0.000)
Tm (0.754, 0.750, 0.004)
Tm (0.754, 0.754, 0.500)

HgRu2Se: calculated powder diffractogram (Cu Kα, 1.54184 Å), based on a DFT-relaxed cell (PBE, Alexandria).
No peak broadening, texture or thermal motion is included.

Top 12 peaks for 2θ from 10° to 90°, by angle:
d 4.635, 19.15 deg, I = 15.5
d 3.400, 26.21 deg, I = 32.9
d 2.611, 34.34 deg, I = 55.1
d 2.318, 38.86 deg, I = 45.5
d 2.275, 39.61 deg, I = 100.0
d 2.201, 41.01 deg, I = 57.2
d 1.733, 52.82 deg, I = 32.4
d 1.531, 60.47 deg, I = 12.4
d 1.396, 67.04 deg, I = 16.1
d 1.330, 70.87 deg, I = 17.9
d 1.277, 74.25 deg, I = 13.5
d 1.238, 77.04 deg, I = 12.3

Atomic structure:
abc: 3.062 4.635 5.002
angles: 90.00 90.09 90.00
Fractional positions:
Hg (0.000, 0.000, 0.000)
Ru (0.001, 0.500, 0.668)
Ru (0.500, 0.000, 0.517)
Se (0.500, 0.500, 0.306)